[1]
This entry pairs a crystal structure of Pm4Nd3In with its computed powder X-ray diffraction pattern. Radiation: Cu Kα. Structure: the PBE geometry in Alexandria.
Lines closer than 0.1° are merged.

Atomic structure:
Unit cell a=11.513 b=7.249 c=6.306 alpha=90.00 beta=90.00 gamma=90.00
Fractional coordinates of all 16 atoms:
Pm (0.000, 0.126, 0.000)
Pm (0.000, 0.869, 0.541)
Pm (0.232, 0.869, 0.182)
Pm (0.268, 0.131, 0.682)
Pm (0.500, 0.131, 0.041)
Pm (0.500, 0.874, 0.500)
Pm (0.732, 0.131, 0.682)
Pm (0.768, 0.869, 0.182)
Nd (0.000, 0.374, 0.531)
Nd (0.243, 0.384, 0.199)
Nd (0.257, 0.616, 0.699)
Nd (0.500, 0.626, 0.031)
Nd (0.743, 0.616, 0.699)
Nd (0.757, 0.384, 0.199)
In (0.000, 0.621, 0.022)
In (0.500, 0.379, 0.522)

Main lines, sorted by position (5° ≤ 2θ ≤ 70°):
- d 3.146, I 24
- d 2.878, I 24
- d 2.761, I 100
- d 2.124, I 15
- d 1.818, I 13
- d 1.638, I 19
- d 1.537, I 14
- d 1.516, I 10

[2]
This entry pairs a crystal structure of LiCd2TeO6 with its computed powder X-ray diffraction pattern. Radiation: Cu Kα. Structure: the PBE geometry in Alexandria.
Lines closer than 0.1° are merged.

Atomic structure:
Unit cell a=5.877 b=5.877 c=5.877 alpha=56.34 beta=56.34 gamma=56.34
Fractional coordinates of all 10 atoms:
Li (0.000, 0.000, 0.000)
Cd (0.253, 0.253, 0.253)
Cd (0.768, 0.768, 0.768)
Te (0.464, 0.464, 0.464)
O (0.116, 0.673, 0.355)
O (0.223, 0.577, 0.807)
O (0.355, 0.116, 0.673)
O (0.577, 0.807, 0.223)
O (0.673, 0.355, 0.116)
O (0.807, 0.223, 0.577)

Main lines, sorted by position (5° ≤ 2θ ≤ 70°):
- d 4.927, I 35
- d 4.571, I 53
- d 4.029, I 49
- d 2.930, I 100
- d 2.775, I 100
- d 2.015, I 42
- d 1.842, I 52
- d 1.630, I 37

What is the formula in the first record? Pm4Nd3In